Entry 1:
For Zr6NiBi2, a cell relaxed with GGA-PBE gives the theoretical XRD peak list in this record (Cu Kα, 1.54184 Å).
Intensities are scaled so that the largest is 100.

Peak list (12 most intense, 15 to 90 degrees two-theta, in order of falling intensity)
2θ (°)	I_rel
33.02	100.0
35.58	69.0
39.33	50.4
34.53	50.3
42.46	47.3
22.41	33.1
64.17	26.4
67.33	26.4
64.58	23.4
49.02	19.8
61.34	18.8
61.87	17.0

Structural model:
Unit cell a=7.935 b=7.935 c=3.717 alpha=90.00 beta=90.00 gamma=120.00
Sites, in units of the cell vectors:
Zr: 0.000 0.237 0.000
Zr: 0.000 0.605 0.500
Zr: 0.237 0.000 0.000
Zr: 0.395 0.395 0.500
Zr: 0.605 0.000 0.500
Zr: 0.763 0.763 0.000
Ni: 0.000 0.000 0.500
Bi: 0.333 0.667 0.000
Bi: 0.667 0.333 0.000

---

Entry 2:
For NpBi, a cell relaxed with GGA-PBE gives the theoretical XRD peak list in this record (Cu Kα, 1.54184 Å).
Intensities are scaled so that the largest is 100.

Peak list (8 most intense, 15 to 90 degrees two-theta, in order of falling intensity)
2θ (°)	I_rel
28.01	100.0
40.03	79.1
65.54	38.4
49.57	28.9
72.72	28.7
57.91	13.8
86.41	9.5
24.20	0.6

Structural model:
Unit cell a=4.504 b=4.504 c=4.504 alpha=60.00 beta=60.00 gamma=60.00
Sites, in units of the cell vectors:
Np: 0.000 0.000 0.000
Bi: 0.500 0.500 0.500

---

Entry 3:
For Bi2O3, a cell relaxed with GGA-PBE gives the theoretical XRD peak list in this record (Cu Kα, 1.54184 Å).
Intensities are scaled so that the largest is 100.

Peak list (12 most intense, 15 to 90 degrees two-theta, in order of falling intensity)
2θ (°)	I_rel
27.96	100.0
29.97	78.6
50.74	43.9
41.45	39.3
49.47	25.9
66.46	17.5
57.79	14.2
54.41	14.1
79.46	13.2
69.61	12.1
80.45	12.0
47.93	10.1

Structural model:
Unit cell a=5.989 b=5.989 c=5.989 alpha=64.39 beta=64.39 gamma=64.39
Sites, in units of the cell vectors:
Bi: 0.136 0.136 0.136
Bi: 0.364 0.364 0.364
Bi: 0.636 0.636 0.636
Bi: 0.864 0.864 0.864
O: 0.005 0.750 0.495
O: 0.250 0.505 0.995
O: 0.495 0.005 0.750
O: 0.505 0.995 0.250
O: 0.750 0.495 0.005
O: 0.995 0.250 0.505

---

Entry 4:
For BiO2, a cell relaxed with GGA-PBE gives the theoretical XRD peak list in this record (Cu Kα, 1.54184 Å).
Intensities are scaled so that the largest is 100.

Peak list (12 most intense, 15 to 90 degrees two-theta, in order of falling intensity)
2θ (°)	I_rel
30.11	100.0
26.33	40.0
21.74	34.2
31.09	33.4
32.59	30.0
24.38	29.9
19.61	29.5
48.22	25.8
30.91	24.9
23.43	21.2
47.73	19.2
56.62	16.7

Structural model:
Unit cell a=6.166 b=6.174 c=22.275 alpha=93.36 beta=97.00 gamma=110.26
Sites, in units of the cell vectors:
Bi: 0.000 0.000 0.000
Bi: 0.011 0.483 0.500
Bi: 0.062 0.556 0.121
Bi: 0.123 0.130 0.248
Bi: 0.201 0.938 0.638
Bi: 0.230 0.630 0.356
Bi: 0.355 0.402 0.758
Bi: 0.433 0.945 0.878
Bi: 0.501 0.497 0.001
Bi: 0.519 0.991 0.500
Bi: 0.573 0.054 0.121
Bi: 0.597 0.522 0.619
Bi: 0.622 0.624 0.248
Bi: 0.786 0.084 0.367
Bi: 0.858 0.902 0.759
Bi: 0.926 0.455 0.880
O: 0.035 0.169 0.697
O: 0.101 0.810 0.922
O: 0.112 0.322 0.423
O: 0.142 0.337 0.951
O: 0.161 0.794 0.453
O: 0.214 0.571 0.823
O: 0.236 0.082 0.804
O: 0.242 0.921 0.160
O: 0.244 0.459 0.198
O: 0.370 0.688 0.556
O: 0.380 0.679 0.073
O: 0.390 0.176 0.046
O: 0.401 0.186 0.561
O: 0.408 0.406 0.314
O: 0.479 0.714 0.707
O: 0.489 0.890 0.300
O: 0.501 0.254 0.691
O: 0.604 0.813 0.423
O: 0.618 0.810 0.957
O: 0.623 0.320 0.930
O: 0.662 0.277 0.438
O: 0.708 0.589 0.811
O: 0.743 0.417 0.164
O: 0.756 0.930 0.190
O: 0.768 0.111 0.827
O: 0.866 0.665 0.048
O: 0.875 0.171 0.544
O: 0.876 0.661 0.561
O: 0.895 0.195 0.076
O: 0.912 0.313 0.299
O: 0.936 0.692 0.690
O: 0.954 0.877 0.323

---

Entry 5:
For Bi2O3, a cell relaxed with GGA-PBE gives the theoretical XRD peak list in this record (Cu Kα, 1.54184 Å).
Intensities are scaled so that the largest is 100.

Peak list (12 most intense, 15 to 90 degrees two-theta, in order of falling intensity)
2θ (°)	I_rel
26.68	100.0
30.67	57.3
25.86	34.2
52.13	31.3
44.44	29.1
43.39	28.2
52.59	16.1
51.20	15.1
54.96	13.3
73.26	13.2
71.25	13.2
71.73	10.6

Structural model:
Unit cell a=5.834 b=5.834 c=5.834 alpha=88.66 beta=88.66 gamma=88.66
Sites, in units of the cell vectors:
Bi: 0.000 0.000 0.000
Bi: 0.037 0.525 0.525
Bi: 0.525 0.037 0.525
Bi: 0.525 0.525 0.037
O: 0.161 0.765 0.765
O: 0.269 0.269 0.660
O: 0.269 0.660 0.269
O: 0.660 0.269 0.269
O: 0.765 0.161 0.765
O: 0.765 0.765 0.161

---

Entry 6:
For Bi2O3, a cell relaxed with GGA-PBE gives the theoretical XRD peak list in this record (Cu Kα, 1.54184 Å).
Intensities are scaled so that the largest is 100.

Peak list (12 most intense, 15 to 90 degrees two-theta, in order of falling intensity)
2θ (°)	I_rel
30.47	100.0
46.84	29.2
53.15	26.7
26.53	26.6
56.43	26.2
29.67	25.0
40.22	22.6
56.91	18.4
76.71	16.2
73.52	10.4
80.81	9.6
85.67	7.3

Structural model:
Unit cell a=3.879 b=3.879 c=6.023 alpha=90.00 beta=90.00 gamma=120.00
Sites, in units of the cell vectors:
Bi: 0.333 0.667 0.244
Bi: 0.667 0.333 0.756
O: 0.000 0.000 0.000
O: 0.333 0.667 0.632
O: 0.667 0.333 0.368

---

Entry 7:
For Bi2O3, a cell relaxed with GGA-PBE gives the theoretical XRD peak list in this record (Cu Kα, 1.54184 Å).
Intensities are scaled so that the largest is 100.

Peak list (12 most intense, 15 to 90 degrees two-theta, in order of falling intensity)
2θ (°)	I_rel
26.26	100.0
28.88	89.3
30.66	77.2
28.99	74.5
25.39	68.6
22.96	60.6
31.46	48.9
29.98	38.1
28.30	35.3
34.33	27.9
44.02	25.7
46.89	22.0

Structural model:
Unit cell a=6.909 b=7.659 c=8.166 alpha=107.14 beta=90.01 gamma=110.95
Sites, in units of the cell vectors:
Bi: 0.000 0.000 0.000
Bi: 0.018 0.531 0.053
Bi: 0.237 0.612 0.603
Bi: 0.374 0.168 0.738
Bi: 0.480 0.056 0.204
Bi: 0.559 0.580 0.175
Bi: 0.750 0.590 0.672
Bi: 0.784 0.007 0.525
O: 0.015 0.940 0.704
O: 0.088 0.655 0.847
O: 0.156 0.312 0.014
O: 0.362 0.396 0.619
O: 0.364 0.735 0.137
O: 0.464 0.033 0.486
O: 0.581 0.973 0.778
O: 0.596 0.693 0.467
O: 0.674 0.058 0.961
O: 0.677 0.445 0.897
O: 0.822 0.853 0.232
O: 0.908 0.424 0.497

---

Entry 8:
For BiO2, a cell relaxed with GGA-PBE gives the theoretical XRD peak list in this record (Cu Kα, 1.54184 Å).
Intensities are scaled so that the largest is 100.

Peak list (12 most intense, 15 to 90 degrees two-theta, in order of falling intensity)
2θ (°)	I_rel
15.45	100.0
29.84	53.5
31.20	48.1
36.18	44.3
52.10	30.0
61.98	25.0
47.58	23.8
54.68	23.3
39.56	22.4
87.95	13.4
73.21	12.9
67.33	12.4

Structural model:
Unit cell a=7.022 b=7.022 c=7.022 alpha=60.00 beta=60.00 gamma=60.00
Sites, in units of the cell vectors:
Bi: 0.000 0.000 0.000
Bi: 0.000 0.000 0.500
Bi: 0.000 0.500 0.000
Bi: 0.500 0.000 0.000
O: 0.189 0.770 0.770
O: 0.230 0.230 0.230
O: 0.230 0.230 0.811
O: 0.230 0.811 0.230
O: 0.770 0.189 0.770
O: 0.770 0.770 0.189
O: 0.770 0.770 0.770
O: 0.811 0.230 0.230

---

Entry 9:
For Bi2O3, a cell relaxed with GGA-PBE gives the theoretical XRD peak list in this record (Cu Kα, 1.54184 Å).
Intensities are scaled so that the largest is 100.

Peak list (12 most intense, 15 to 90 degrees two-theta, in order of falling intensity)
2θ (°)	I_rel
27.99	100.0
25.81	63.2
32.08	58.4
27.09	51.2
44.01	49.4
30.46	30.3
45.63	28.5
52.26	19.8
55.90	19.5
47.91	18.4
52.62	18.3
55.21	18.0

Structural model:
Unit cell a=3.983 b=3.983 c=7.346 alpha=107.47 beta=107.47 gamma=56.93
Sites, in units of the cell vectors:
Bi: 0.000 0.000 0.000
Bi: 0.542 0.542 0.497
O: 0.097 0.097 0.344
O: 0.333 0.333 0.011
O: 0.871 0.871 0.663

---

Entry 10:
For Bi2O3, a cell relaxed with GGA-PBE gives the theoretical XRD peak list in this record (Cu Kα, 1.54184 Å).
Intensities are scaled so that the largest is 100.

Peak list (12 most intense, 15 to 90 degrees two-theta, in order of falling intensity)
2θ (°)	I_rel
25.69	100.0
27.54	82.4
25.39	77.2
28.09	76.3
34.94	53.0
32.69	47.3
31.54	43.0
39.86	32.6
44.40	27.0
52.81	26.6
40.89	23.2
50.63	20.2

Structural model:
Unit cell a=3.741 b=3.988 c=7.287 alpha=105.86 beta=90.20 gamma=116.37
Sites, in units of the cell vectors:
Bi: 0.000 0.000 0.000
Bi: 0.422 0.388 0.479
O: 0.119 0.892 0.335
O: 0.335 0.641 0.021
O: 0.902 0.145 0.653

---

Entry 11:
For BiO2, a cell relaxed with GGA-PBE gives the theoretical XRD peak list in this record (Cu Kα, 1.54184 Å).
Intensities are scaled so that the largest is 100.

Peak list (12 most intense, 15 to 90 degrees two-theta, in order of falling intensity)
2θ (°)	I_rel
29.78	100.0
44.61	54.6
22.78	51.2
27.45	35.5
54.25	31.6
48.53	29.5
35.96	24.8
57.98	17.0
87.92	16.2
68.03	15.4
66.44	15.0
78.91	15.0

Structural model:
Unit cell a=3.752 b=3.752 c=7.806 alpha=90.00 beta=90.00 gamma=120.00
Sites, in units of the cell vectors:
Bi: 0.333 0.667 0.250
Bi: 0.667 0.333 0.750
O: 0.333 0.667 0.613
O: 0.333 0.667 0.887
O: 0.667 0.333 0.113
O: 0.667 0.333 0.387